Simulated powder diffraction line list
Compound: Mg6MnCrO8
Radiation: copper Kα
Structure: DFT lattice parameters and positions (GGA+U)

Largest 10 diffraction maxima, in order of falling intensity, 2θ from 10° to 90°:
2theta, Rel. int., hkl
41.41, 100, 2 0 0
60.78, 54, 2 0 4
42.42, 46, 0 0 4
35.95, 34, 1 1 2
60.00, 28, 2 2 0
76.22, 25, 2 2 4
20.36, 15, 1 0 0
29.30, 12, 1 0 2
71.97, 12, 3 1 2
90.00, 8, 4 0 0

```
data_Mg6MnCrO8
_chemical_formula_sum 'Mg6 Mn1 Cr1 O8'
_space_group_name_H-M_alt 'P 4/m m m'
_space_group_IT_number 123
_space_group_name_Hall '-P 4 2'
_cell_length_a 4.361
_cell_length_b 4.361
_cell_length_c 8.523
_cell_angle_alpha 90.00
_cell_angle_beta 90.00
_cell_angle_gamma 90.00
loop_
_atom_site_label
_atom_site_type_symbol
_atom_site_fract_x
_atom_site_fract_y
_atom_site_fract_z
_atom_site_occupancy
Mg1 Mg 0.000 0.000 0.000 1
Mg2 Mg 0.000 0.000 0.500 1
Mg3 Mg 0.000 0.500 0.247 1
Mn1 Mn 0.500 0.500 0.500 1
Cr1 Cr 0.500 0.500 0.000 1
O1 O 0.000 0.000 0.251 1
O2 O 0.000 0.500 0.000 1
O3 O 0.000 0.500 0.500 1
O4 O 0.500 0.500 0.244 1
```